Starting from DFT lattice parameters and positions (GGA-PBE), the powder diffractogram of La2SmCr2C4 was simulated for Cu Kα (λ = 1.5418 Å).
Neutral-atom scattering factors, no anomalous dispersion.

Structure:
abc: 13.6544 3.5388 6.1752
angles: 90.00 108.64 90.00
Space group C2/m (No. 12)
Symmetry-distinct sites (fractional):
1 La 0.1341 0.0000 0.0414 (multiplicity 4)
2 Sm 0.0000 0.0000 0.5000 (multiplicity 2)
3 Cr 0.1826 0.5000 0.5030 (multiplicity 4)
4 C 0.0601 0.5000 0.2738 (multiplicity 4)
5 C 0.2138 0.0000 0.6611 (multiplicity 4)

The 6 most intense peaks (10° ≤ 2θ ≤ 90°), low angle first:
2θ 26.11, intensity 75, hkl 1 1 0
2θ 26.90, intensity 68, hkl 4 0 -1
2θ 30.56, intensity 74, hkl 0 0 2
2θ 33.22, intensity 100, hkl 3 1 -1
2θ 38.81, intensity 57, hkl 1 1 -2
2θ 39.07, intensity 87, hkl 3 1 1

Starting from DFT lattice parameters and positions (GGA-PBE), the powder diffractogram of Be5Sb was simulated for Cu Kα (λ = 1.5418 Å).
Neutral-atom scattering factors, no anomalous dispersion.

Structure:
abc: 3.6324 4.2038 10.2624
angles: 90.00 90.00 90.00
Space group Imm2 (No. 44)
Symmetry-distinct sites (fractional):
1 Be 0.0000 0.0000 0.0000 (multiplicity 2)
2 Be 0.0000 0.0000 0.1931 (multiplicity 2)
3 Be 0.0000 0.2547 0.5839 (multiplicity 4)
4 Be 0.0000 0.5000 0.0878 (multiplicity 2)
5 Sb 0.0000 0.5000 0.3363 (multiplicity 2)

The 6 most intense peaks (10° ≤ 2θ ≤ 90°), low angle first:
2θ 17.28, intensity 56, hkl 0 0 2
2θ 22.86, intensity 100, hkl 0 1 1
2θ 26.02, intensity 74, hkl 1 0 1
2θ 32.58, intensity 37, hkl 1 1 0
2θ 33.78, intensity 37, hkl 0 1 3
2θ 37.11, intensity 55, hkl 1 1 2

Starting from DFT lattice parameters and positions (GGA-PBE), the powder diffractogram of YFe3I12 was simulated for Cu Kα (λ = 1.5418 Å).
Neutral-atom scattering factors, no anomalous dispersion.

Structure:
abc: 15.3535 15.3535 8.0969
angles: 90.00 90.00 120.00
Space group P6_3/m (No. 176)
Symmetry-distinct sites (fractional):
1 Y 0.3333 0.6667 0.2500 (multiplicity 2)
2 Fe 0.1279 0.6957 0.7500 (multiplicity 6)
3 I 0.0162 0.5094 0.7500 (multiplicity 6)
4 I 0.0342 0.7894 0.7500 (multiplicity 6)
5 I 0.2392 0.4841 0.0136 (multiplicity 12)

The 6 most intense peaks (10° ≤ 2θ ≤ 90°), low angle first:
2θ 15.91, intensity 40, hkl 1 1 1
2θ 24.13, intensity 27, hkl 1 3 0
2θ 25.75, intensity 34, hkl 2 0 2
2θ 26.82, intensity 100, hkl 4 0 0
2θ 28.31, intensity 78, hkl 1 2 2
2θ 52.96, intensity 28, hkl 4 0 4

Starting from DFT lattice parameters and positions (GGA-PBE), the powder diffractogram of Ce4Mn3Sb8 was simulated for Cu Kα (λ = 1.5418 Å).
Neutral-atom scattering factors, no anomalous dispersion.

Structure:
abc: 4.3775 4.3775 20.0581
angles: 90.00 90.00 90.00
Space group P-4m2 (No. 115)
Symmetry-distinct sites (fractional):
1 Ce 0.0000 0.5000 0.1190 (multiplicity 2)
2 Ce 0.0000 0.5000 0.6329 (multiplicity 2)
3 Mn 0.0000 0.0000 0.5000 (multiplicity 1)
4 Mn 0.5000 0.5000 0.0000 (multiplicity 1)
5 Mn 0.5000 0.5000 0.5000 (multiplicity 1)
6 Sb 0.0000 0.0000 0.2436 (multiplicity 2)
7 Sb 0.0000 0.5000 0.4184 (multiplicity 2)
8 Sb 0.0000 0.5000 0.9275 (multiplicity 2)
9 Sb 0.5000 0.5000 0.2431 (multiplicity 2)

The 6 most intense peaks (10° ≤ 2θ ≤ 90°), low angle first:
2θ 30.22, intensity 25, hkl 1 1 2
2θ 33.74, intensity 23, hkl 1 0 6
2θ 34.04, intensity 100, hkl 1 1 4
2θ 41.25, intensity 45, hkl 2 0 0
2θ 50.02, intensity 25, hkl 1 0 10
2θ 70.58, intensity 24, hkl 3 1 4

Starting from DFT lattice parameters and positions (GGA-PBE), the powder diffractogram of Ca4Hg3 was simulated for Cu Kα (λ = 1.5418 Å).
Neutral-atom scattering factors, no anomalous dispersion.

Structure:
abc: 5.3558 5.3558 25.8099
angles: 90.00 90.00 120.00
Space group R-3m (No. 166, hexagonal axes)
Symmetry-distinct sites (fractional):
1 Ca 0.0000 0.0000 0.1245 (multiplicity 6)
2 Ca 0.0000 0.0000 0.3753 (multiplicity 6)
3 Hg 0.0000 0.0000 0.0000 (multiplicity 3)
4 Hg 0.0000 0.0000 0.2484 (multiplicity 6)

The 6 most intense peaks (10° ≤ 2θ ≤ 90°), low angle first:
2θ 10.28, intensity 30, hkl 0 0 3
2θ 23.62, intensity 72, hkl 1 0 4
2θ 33.46, intensity 100, hkl 1 1 0
2θ 33.84, intensity 97, hkl 0 1 8
2θ 48.33, intensity 35, hkl 2 0 8
2θ 60.06, intensity 37, hkl 1 2 8

Starting from DFT lattice parameters and positions (GGA-PBE), the powder diffractogram of TiMoIr was simulated for Cu Kα (λ = 1.5418 Å).
Neutral-atom scattering factors, no anomalous dispersion.

Structure:
abc: 13.7740 2.9633 4.5557
angles: 90.00 95.77 90.00
Space group Cm (No. 8)
Symmetry-distinct sites (fractional):
1 Ti 0.0000 0.0000 0.0000 (multiplicity 2)
2 Ti 0.1710 0.0000 0.5510 (multiplicity 2)
3 Mo 0.9996 0.5000 0.5019 (multiplicity 2)
4 Mo 0.3214 0.0000 0.9461 (multiplicity 2)
5 Ir 0.1615 0.5000 0.0572 (multiplicity 2)
6 Ir 0.3406 0.5000 0.4514 (multiplicity 2)

The 6 most intense peaks (10° ≤ 2θ ≤ 90°), low angle first:
2θ 12.92, intensity 24, hkl 2 0 0
2θ 22.40, intensity 34, hkl 2 0 -1
2θ 39.45, intensity 57, hkl 6 0 0
2θ 39.77, intensity 41, hkl 0 0 2
2θ 40.42, intensity 100, hkl 3 1 -1
2θ 42.42, intensity 95, hkl 3 1 1